Simulated PXRD pattern
Compound: Ho2Re3Si5
Radiation: Cu Kα (λ = 1.5418 Å)
Structure: the GGA-PBE geometry in OQMD
Kinematic intensities with the Lorentz-polarization factor, no thermal factor.

The 8 most intense peaks (10° ≤ 2θ ≤ 80°), low angle first:
d_spacing  I (rel.)  hkl
3.473  99  3 1 0
2.937  88  3 1 1
2.594  43  1 1 2
2.457  84  4 2 0
2.398  100  4 1 1
2.244  73  2 2 2
1.943  45  4 0 2
1.510  45  7 0 1

Atomic structure:
```
Ho2Re3Si5
1.0
10.9817 0.0000 0.0000
0.0000 10.9817 0.0000
0.0000 0.0000 5.5038
Ho Re Si
8 12 20
direct
0.0777 0.2371 0.0000 Ho
0.2371 0.9223 0.0000 Ho
0.2629 0.4223 0.5000 Ho
0.4223 0.7371 0.5000 Ho
0.5777 0.2629 0.5000 Ho
0.7371 0.5777 0.5000 Ho
0.7629 0.0777 0.0000 Ho
0.9223 0.7629 0.0000 Ho
0.0000 0.5000 0.2500 Re
0.0000 0.5000 0.7500 Re
0.1234 0.8528 0.5000 Re
0.1472 0.1234 0.5000 Re
0.3528 0.6234 0.0000 Re
0.3766 0.3528 0.0000 Re
0.5000 0.0000 0.2500 Re
0.5000 0.0000 0.7500 Re
0.6234 0.6472 0.0000 Re
0.6472 0.3766 0.0000 Re
0.8528 0.8766 0.5000 Re
0.8766 0.1472 0.5000 Re
0.0000 0.0000 0.2412 Si
0.0000 0.0000 0.7588 Si
0.0287 0.3140 0.5000 Si
0.1723 0.6723 0.2500 Si
0.1723 0.6723 0.7500 Si
0.1860 0.4713 0.0000 Si
0.3140 0.9713 0.5000 Si
0.3277 0.1723 0.2500 Si
0.3277 0.1723 0.7500 Si
0.4713 0.8140 0.0000 Si
0.5000 0.5000 0.2588 Si
0.5000 0.5000 0.7412 Si
0.5287 0.1860 0.0000 Si
0.6723 0.8277 0.2500 Si
0.6723 0.8277 0.7500 Si
0.6860 0.0287 0.5000 Si
0.8140 0.5287 0.0000 Si
0.8277 0.3277 0.2500 Si
0.8277 0.3277 0.7500 Si
0.9713 0.6860 0.5000 Si
```